Starting from a GGA-PBE-relaxed structure, the powder XRD pattern of KHC3N6 was simulated for Cu Ka.
Intensities are scaled so that the largest is 1000.

Structure:
Cell: 3.933 9.084 10.826 Å, 103.49 92.82 97.15°
Sites, in units of the cell vectors:
K: 0.192 0.306 0.053
K: 0.808 0.694 0.947
H: 0.167 0.768 0.386
H: 0.833 0.232 0.614
C: 0.153 0.804 0.675
C: 0.167 0.372 0.739
C: 0.489 0.988 0.838
C: 0.511 0.012 0.162
C: 0.833 0.628 0.261
C: 0.847 0.196 0.325
N: 0.017 0.658 0.631
N: 0.090 0.274 0.635
N: 0.107 0.913 0.613
N: 0.268 0.465 0.838
N: 0.349 0.846 0.793
N: 0.366 0.889 0.109
N: 0.634 0.111 0.891
N: 0.651 0.154 0.207
N: 0.732 0.535 0.162
N: 0.893 0.087 0.387
N: 0.910 0.726 0.365
N: 0.983 0.342 0.369

Largest 10 diffraction maxima, sorted by position, 10° ≤ 2θ ≤ 80°:
Position (°2θ)	d_spacing	I/Imax
14.67	6.039	147
23.12	3.847	162
23.74	3.748	314
26.34	3.384	187
27.41	3.254	117
28.53	3.129	1000
29.03	3.076	141
29.62	3.016	119
33.02	2.713	311
34.60	2.592	113

---

Starting from a GGA-PBE-relaxed structure, the powder XRD pattern of K5HC2N4 was simulated for Cu Ka.
Intensities are scaled so that the largest is 1000.

Structure:
Cell: 9.132 9.132 11.104 Å, 90.00 90.00 90.00°
Sites, in units of the cell vectors:
K: 0.045 0.646 0.102
K: 0.045 0.854 0.602
K: 0.146 0.545 0.398
K: 0.146 0.955 0.898
K: 0.250 0.250 0.152
K: 0.250 0.250 0.652
K: 0.354 0.545 0.898
K: 0.354 0.955 0.398
K: 0.455 0.646 0.602
K: 0.455 0.854 0.102
K: 0.545 0.146 0.898
K: 0.545 0.354 0.398
K: 0.646 0.045 0.602
K: 0.646 0.455 0.102
K: 0.750 0.750 0.348
K: 0.750 0.750 0.848
K: 0.854 0.045 0.102
K: 0.854 0.455 0.602
K: 0.955 0.146 0.398
K: 0.955 0.354 0.898
H: 0.250 0.250 0.400
H: 0.250 0.250 0.900
H: 0.750 0.750 0.100
H: 0.750 0.750 0.600
C: 0.103 0.603 0.750
C: 0.103 0.897 0.250
C: 0.397 0.603 0.250
C: 0.397 0.897 0.750
C: 0.603 0.103 0.250
C: 0.603 0.397 0.750
C: 0.897 0.103 0.750
C: 0.897 0.397 0.250
N: 0.056 0.651 0.848
N: 0.056 0.849 0.348
N: 0.151 0.556 0.652
N: 0.151 0.944 0.152
N: 0.349 0.556 0.152
N: 0.349 0.944 0.652
N: 0.444 0.651 0.348
N: 0.444 0.849 0.848
N: 0.556 0.151 0.152
N: 0.556 0.349 0.652
N: 0.651 0.056 0.348
N: 0.651 0.444 0.848
N: 0.849 0.056 0.848
N: 0.849 0.444 0.348
N: 0.944 0.151 0.652
N: 0.944 0.349 0.152

Largest 10 diffraction maxima, sorted by position, 10° ≤ 2θ ≤ 80°:
Position (°2θ)	d_spacing	I/Imax
27.10	3.290	823
30.97	2.888	905
32.02	2.795	1000
32.25	2.776	399
32.65	2.743	922
44.36	2.042	289
45.15	2.008	276
45.31	2.001	220
51.94	1.760	208
52.76	1.735	329

---

Starting from a GGA-PBE-relaxed structure, the powder XRD pattern of KHCN2 was simulated for Cu Ka.
Intensities are scaled so that the largest is 1000.

Structure:
Cell: 7.196 9.136 9.171 Å, 90.00 90.00 90.00°
Sites, in units of the cell vectors:
K: 0.015 0.249 0.355
K: 0.241 0.396 0.989
K: 0.259 0.604 0.489
K: 0.485 0.751 0.855
K: 0.515 0.251 0.645
K: 0.741 0.104 0.011
K: 0.759 0.896 0.511
K: 0.985 0.749 0.145
H: 0.072 0.555 0.757
H: 0.174 0.968 0.322
H: 0.326 0.032 0.822
H: 0.428 0.445 0.257
H: 0.572 0.945 0.243
H: 0.674 0.532 0.678
H: 0.826 0.468 0.178
H: 0.928 0.055 0.743
C: 0.023 0.249 0.691
C: 0.225 0.056 0.019
C: 0.275 0.944 0.519
C: 0.477 0.751 0.191
C: 0.523 0.251 0.309
C: 0.725 0.444 0.981
C: 0.775 0.556 0.481
C: 0.977 0.749 0.809
N: 0.110 0.658 0.793
N: 0.111 0.055 0.115
N: 0.136 0.344 0.670
N: 0.142 0.934 0.427
N: 0.358 0.066 0.927
N: 0.364 0.656 0.170
N: 0.389 0.945 0.615
N: 0.390 0.342 0.293
N: 0.610 0.842 0.207
N: 0.611 0.445 0.885
N: 0.636 0.156 0.330
N: 0.642 0.566 0.573
N: 0.858 0.434 0.073
N: 0.864 0.844 0.830
N: 0.889 0.555 0.385
N: 0.890 0.158 0.707

Largest 10 diffraction maxima, sorted by position, 10° ≤ 2θ ≤ 80°:
Position (°2θ)	d_spacing	I/Imax
27.56	3.236	196
28.38	3.145	608
30.89	2.895	1000
31.63	2.829	517
31.80	2.814	119
31.91	2.804	120
37.57	2.394	322
43.74	2.069	283
47.14	1.928	110
49.25	1.850	221

---

Starting from a GGA-PBE-relaxed structure, the powder XRD pattern of KPH6C2N4O4 was simulated for Cu Ka.
Intensities are scaled so that the largest is 1000.

Structure:
Cell: 8.632 7.761 8.278 Å, 65.03 54.59 60.38°
Sites, in units of the cell vectors:
K: 0.000 0.000 0.000
K: 0.250 0.250 0.250
P: 0.680 0.680 0.320
P: 0.930 0.930 0.570
H: 0.089 0.640 0.807
H: 0.174 0.374 0.855
H: 0.341 0.793 0.570
H: 0.374 0.174 0.597
H: 0.395 0.653 0.076
H: 0.443 0.785 0.161
H: 0.640 0.089 0.465
H: 0.653 0.395 0.876
H: 0.680 0.954 0.909
H: 0.785 0.443 0.610
H: 0.793 0.341 0.296
H: 0.954 0.680 0.457
C: 0.066 0.509 0.655
C: 0.480 0.595 0.741
C: 0.509 0.066 0.770
C: 0.595 0.480 0.184
N: 0.093 0.510 0.800
N: 0.450 0.652 0.157
N: 0.483 0.699 0.557
N: 0.510 0.093 0.598
N: 0.652 0.450 0.740
N: 0.693 0.988 0.767
N: 0.699 0.483 0.262
N: 0.988 0.693 0.551
O: 0.064 0.926 0.634
O: 0.107 0.346 0.616
O: 0.319 0.634 0.904
O: 0.346 0.107 0.931
O: 0.616 0.874 0.186
O: 0.634 0.319 0.143
O: 0.874 0.616 0.324
O: 0.926 0.064 0.376

Largest 10 diffraction maxima, sorted by position, 10° ≤ 2θ ≤ 80°:
Position (°2θ)	d_spacing	I/Imax
21.96	4.048	607
23.03	3.861	544
23.73	3.750	578
25.70	3.467	1000
26.93	3.311	390
27.72	3.218	506
31.08	2.877	326
32.47	2.758	436
36.35	2.472	601
47.07	1.931	279

---

Starting from a GGA-PBE-relaxed structure, the powder XRD pattern of KPH5C2S2N3O3 was simulated for Cu Ka.
Intensities are scaled so that the largest is 1000.

Structure:
Cell: 6.761 7.028 10.513 Å, 89.99 78.32 83.82°
Sites, in units of the cell vectors:
K: 0.166 0.359 0.211
K: 0.834 0.641 0.789
P: 0.408 0.197 0.762
P: 0.592 0.803 0.238
H: 0.079 0.143 0.490
H: 0.345 0.589 0.892
H: 0.345 0.873 0.771
H: 0.394 0.756 0.976
H: 0.468 0.589 0.405
H: 0.532 0.411 0.595
H: 0.606 0.244 0.024
H: 0.655 0.127 0.229
H: 0.655 0.411 0.108
H: 0.921 0.857 0.510
C: 0.200 0.987 0.629
C: 0.307 0.291 0.530
C: 0.693 0.709 0.470
C: 0.800 0.013 0.371
S: 0.179 0.334 0.891
S: 0.324 0.849 0.191
S: 0.676 0.151 0.809
S: 0.821 0.666 0.109
N: 0.182 0.145 0.551
N: 0.331 0.990 0.711
N: 0.433 0.306 0.615
N: 0.567 0.694 0.385
N: 0.669 0.010 0.289
N: 0.818 0.855 0.449
O: 0.101 0.849 0.620
O: 0.301 0.400 0.437
O: 0.417 0.705 0.886
O: 0.583 0.295 0.114
O: 0.699 0.600 0.563
O: 0.899 0.151 0.380

Largest 10 diffraction maxima, sorted by position, 10° ≤ 2θ ≤ 80°:
Position (°2θ)	d_spacing	I/Imax
15.17	5.841	546
17.23	5.147	391
17.47	5.078	708
22.57	3.940	1000
26.76	3.332	573
27.56	3.236	621
28.13	3.172	620
31.49	2.841	313
33.68	2.661	370
36.30	2.475	318

---

Starting from a GGA-PBE-relaxed structure, the powder XRD pattern of K2H4PtC6S6N6O2 was simulated for Cu Ka.
Intensities are scaled so that the largest is 1000.

Structure:
Cell: 11.467 11.322 7.414 Å, 90.00 99.84 90.00°
Sites, in units of the cell vectors:
K: 0.000 0.153 0.106
K: 0.000 0.347 0.606
K: 0.000 0.653 0.394
K: 0.000 0.847 0.894
H: 0.050 0.591 0.878
H: 0.050 0.909 0.378
H: 0.084 0.077 0.699
H: 0.084 0.423 0.199
H: 0.916 0.577 0.801
H: 0.916 0.923 0.301
H: 0.950 0.091 0.622
H: 0.950 0.409 0.122
Pt: 0.500 0.000 0.500
Pt: 0.500 0.500 0.000
C: 0.261 0.593 0.155
C: 0.261 0.907 0.655
C: 0.266 0.175 0.436
C: 0.266 0.325 0.936
C: 0.279 0.559 0.669
C: 0.279 0.941 0.169
C: 0.721 0.059 0.831
C: 0.721 0.441 0.331
C: 0.734 0.675 0.064
C: 0.734 0.825 0.564
C: 0.739 0.093 0.345
C: 0.739 0.407 0.845
S: 0.383 0.521 0.244
S: 0.383 0.979 0.744
S: 0.386 0.639 0.792
S: 0.386 0.861 0.292
S: 0.399 0.179 0.376
S: 0.399 0.321 0.876
S: 0.601 0.679 0.124
S: 0.601 0.821 0.624
S: 0.614 0.139 0.708
S: 0.614 0.361 0.208
S: 0.617 0.021 0.256
S: 0.617 0.479 0.756
N: 0.170 0.180 0.470
N: 0.170 0.320 0.970
N: 0.172 0.643 0.101
N: 0.172 0.857 0.601
N: 0.201 0.510 0.575
N: 0.201 0.990 0.075
N: 0.799 0.010 0.925
N: 0.799 0.490 0.425
N: 0.828 0.143 0.399
N: 0.828 0.357 0.899
N: 0.830 0.680 0.030
N: 0.830 0.820 0.530
O: 0.007 0.087 0.737
O: 0.007 0.413 0.237
O: 0.993 0.587 0.763
O: 0.993 0.913 0.263

Largest 10 diffraction maxima, sorted by position, 10° ≤ 2θ ≤ 80°:
Position (°2θ)	d_spacing	I/Imax
14.43	6.138	787
15.41	5.751	1000
15.67	5.655	706
17.40	5.095	697
17.52	5.061	525
19.77	4.490	252
25.92	3.438	184
31.07	2.879	352
31.28	2.860	196
32.09	2.789	640